For Sr2YRe3O12, DFT lattice parameters and positions (PBE) gives the theoretical powder XRD pattern in this record (Cu Kα X-rays).
No peak broadening, texture or thermal motion is included.

Cell and atoms:
a = 6.801 Å, b = 6.801 Å, c = 6.801 Å
α = 66.13°, β = 66.13°, γ = 66.13°
Fractional coordinates of all 18 atoms:
Sr (0.123, 0.123, 0.123)
Sr (0.877, 0.877, 0.877)
Y (0.500, 0.500, 0.500)
Re (0.000, 0.500, 0.500)
Re (0.500, 0.000, 0.500)
Re (0.500, 0.500, 0.000)
O (0.089, 0.633, 0.633)
O (0.221, 0.221, 0.600)
O (0.221, 0.600, 0.221)
O (0.367, 0.367, 0.911)
O (0.367, 0.911, 0.367)
O (0.400, 0.779, 0.779)
O (0.600, 0.221, 0.221)
O (0.633, 0.089, 0.633)
O (0.633, 0.633, 0.089)
O (0.779, 0.400, 0.779)
O (0.779, 0.779, 0.400)
O (0.911, 0.367, 0.367)

Main lines, in order of rising 2θ (2θ = 10–90°):
- 2θ = 14.9°, rel. 399
- 2θ = 16.8°, rel. 416
- 2θ = 28.3°, rel. 1000
- 2θ = 29.4°, rel. 719
- 2θ = 30.0°, rel. 799
- 2θ = 31.5°, rel. 256
- 2θ = 33.9°, rel. 259
- 2θ = 45.7°, rel. 245
- 2θ = 49.1°, rel. 494
- 2θ = 54.4°, rel. 293